(1)
# La2Pd5Au12
Calculated XRD peak list, Cu Ka. Input: a cell relaxed with GGA-PBE.
Kinematic intensities with the Lorentz-polarization factor, no thermal factor.

The 10 most intense peaks (10° ≤ 2θ ≤ 80°), most intense first:
| Position (°2θ) | I (rel.) | index |
| --- | --- | --- |
| 37.8 | 100 | 0 3 3 |
| 42.4 | 81 | 2 2 3 |
| 37.5 | 37 | 2 2 0 |
| 38.7 | 35 | 0 0 6 |
| 18.5 | 32 | 1 1 0 |
| 32.3 | 28 | 3 0 0 |
| 33.5 | 23 | 0 2 4 |
| 67.6 | 23 | 6 0 0 |
| 43.2 | 22 | 1 1 6 |
| 61.3 | 18 | 3 3 3 |

Crystal structure
```
data_La2Pd5Au12
_chemical_formula_sum 'La6 Pd15 Au36'
_cell_length_a 9.5965
_cell_length_b 9.5965
_cell_length_c 13.9700
_cell_angle_alpha 90.00
_cell_angle_beta 90.00
_cell_angle_gamma 120.00
_space_group_name_H-M_alt 'R -3 m'
_space_group_IT_number 166
_space_group_name_Hall '-R 3 2"'
loop_
_atom_site_label
_atom_site_type_symbol
_atom_site_fract_x
_atom_site_fract_y
_atom_site_fract_z
La1 La 0.0000 0.0000 0.1866
Pd1 Pd 0.0000 0.0000 0.3969
Pd2 Pd 0.0000 0.5000 0.0000
Au1 Au 0.0000 0.3027 0.5000
Au2 Au 0.0018 0.5009 0.6529
```

(2)
# Ta3Ni8Rh2
Calculated XRD peak list, Cu Ka. Input: a cell relaxed with GGA-PBE.
Kinematic intensities with the Lorentz-polarization factor, no thermal factor.

The 10 most intense peaks (10° ≤ 2θ ≤ 80°), most intense first:
| Position (°2θ) | I (rel.) | index |
| --- | --- | --- |
| 41.8 | 100 | 0 1 11 |
| 38.7 | 73 | 1 1 0 |
| 43.4 | 62 | 1 1 6 |
| 27.2 | 53 | 0 1 5 |
| 72.2 | 38 | 1 2 11 |
| 48.0 | 35 | 2 0 5 |
| 45.5 | 31 | 2 0 2 |
| 47.6 | 18 | 1 0 13 |
| 70.1 | 15 | 3 0 0 |
| 46.9 | 14 | 0 2 4 |

Crystal structure
```
data_Ta3Ni8Rh2
_chemical_formula_sum 'Ta9 Ni24 Rh6'
_cell_length_a 4.6485
_cell_length_b 4.6485
_cell_length_c 28.1882
_cell_angle_alpha 90.00
_cell_angle_beta 90.00
_cell_angle_gamma 120.00
_space_group_name_H-M_alt 'R -3 m'
_space_group_IT_number 166
_space_group_name_Hall '-R 3 2"'
loop_
_atom_site_label
_atom_site_type_symbol
_atom_site_fract_x
_atom_site_fract_y
_atom_site_fract_z
Ta1 Ta 0.0000 0.0000 0.0000
Ta2 Ta 0.0000 0.0000 0.1868
Ni1 Ni 0.0000 0.0000 0.2730
Ni2 Ni 0.0012 0.5006 0.7691
Rh1 Rh 0.0000 0.0000 0.3592
```

(3)
# RbIn6Sb2
Calculated XRD peak list, Cu Ka. Input: a cell relaxed with GGA-PBE.
Kinematic intensities with the Lorentz-polarization factor, no thermal factor.

The 10 most intense peaks (10° ≤ 2θ ≤ 80°), most intense first:
| Position (°2θ) | I (rel.) | index |
| --- | --- | --- |
| 35.0 | 100 | 1 1 3 |
| 29.5 | 93 | 1 1 2 |
| 34.8 | 86 | 2 0 0 |
| 62.5 | 35 | 3 1 3 |
| 50.0 | 30 | 2 2 0 |
| 59.1 | 25 | 3 1 2 |
| 30.2 | 22 | 1 0 3 |
| 55.4 | 17 | 2 0 5 |
| 62.9 | 17 | 2 0 6 |
| 74.9 | 15 | 1 1 8 |

Crystal structure
```
data_RbIn6Sb2
_chemical_formula_sum 'Rb1 In6 Sb2'
_cell_length_a 5.1603
_cell_length_b 5.1603
_cell_length_c 10.8188
_cell_angle_alpha 90.00
_cell_angle_beta 90.00
_cell_angle_gamma 90.00
_space_group_name_H-M_alt 'P 4/m m m'
_space_group_IT_number 123
_space_group_name_Hall '-P 4 2'
loop_
_atom_site_label
_atom_site_type_symbol
_atom_site_fract_x
_atom_site_fract_y
_atom_site_fract_z
Rb1 Rb 0.0000 0.0000 0.0000
In1 In 0.0000 0.0000 0.5000
In2 In 0.0000 0.5000 0.3112
In3 In 0.5000 0.5000 0.5000
Sb1 Sb 0.5000 0.5000 0.1416
```

(4)
# BaNa6O4
Calculated XRD peak list, Cu Ka. Input: a cell relaxed with GGA-PBE.
Kinematic intensities with the Lorentz-polarization factor, no thermal factor.

The 10 most intense peaks (10° ≤ 2θ ≤ 80°), most intense first:
| Position (°2θ) | I (rel.) | index |
| --- | --- | --- |
| 44.5 | 100 | 4 4 0 |
| 18.9 | 71 | 2 1 1 |
| 29.0 | 68 | 3 2 1 |
| 26.8 | 62 | 2 2 2 |
| 31.0 | 58 | 4 0 0 |
| 10.9 | 49 | 1 1 0 |
| 36.6 | 33 | 3 3 2 |
| 52.7 | 25 | 6 2 2 |
| 39.9 | 21 | 5 1 0 |
| 24.4 | 21 | 3 1 0 |

Crystal structure
```
data_BaNa6O4
_chemical_formula_sum 'Ba8 Na48 O32'
_cell_length_a 11.5292
_cell_length_b 11.5292
_cell_length_c 11.5292
_cell_angle_alpha 90.00
_cell_angle_beta 90.00
_cell_angle_gamma 90.00
_space_group_name_H-M_alt 'I -4 3 m'
_space_group_IT_number 217
_space_group_name_Hall 'I -4 2 3'
loop_
_atom_site_label
_atom_site_type_symbol
_atom_site_fract_x
_atom_site_fract_y
_atom_site_fract_z
Ba1 Ba 0.1257 0.1257 0.8743
Na1 Na 0.0950 0.3770 0.3770
Na2 Na 0.1273 0.1273 0.3451
O1 O 0.0000 0.0000 0.0000
O2 O 0.0000 0.0000 0.5000
O3 O 0.0152 0.2604 0.7396
```

(5)
# PrDyPbSe
Calculated XRD peak list, Cu Ka. Input: a cell relaxed with GGA-PBE.
Kinematic intensities with the Lorentz-polarization factor, no thermal factor.

The 10 most intense peaks (10° ≤ 2θ ≤ 80°), most intense first:
| Position (°2θ) | I (rel.) | index |
| --- | --- | --- |
| 31.4 | 100 | 1 0 2 |
| 45.8 | 49 | 2 1 1 |
| 29.6 | 46 | 1 0 -1 |
| 36.0 | 38 | 1 0 -2 |
| 26.2 | 25 | 1 1 1 |
| 56.6 | 22 | 2 2 3 |
| 26.9 | 21 | 1 1 0 |
| 64.3 | 20 | 2 1 5 |
| 31.6 | 15 | 0 0 3 |
| 56.7 | 14 | 1 2 -2 |

Crystal structure
```
data_PrDyPbSe
_chemical_formula_sum 'Pr1 Dy1 Pb1 Se1'
_cell_length_a 3.9615
_cell_length_b 3.9615
_cell_length_c 8.7998
_cell_angle_alpha 77.04
_cell_angle_beta 77.01
_cell_angle_gamma 60.09
_space_group_name_H-M_alt 'P 1'
_space_group_IT_number 1
loop_
_space_group_symop_operation_xyz
'x,y,z'
loop_
_atom_site_label
_atom_site_type_symbol
_atom_site_fract_x
_atom_site_fract_y
_atom_site_fract_z
Pr1 Pr 0.0000 0.0000 0.0000
Dy1 Dy 0.1935 0.1938 0.4201
Pb1 Pb 0.4361 0.4327 0.7032
Se1 Se 0.5930 0.5931 0.2212
```

(6)
# Na2H5W
Calculated XRD peak list, Cu Ka. Input: a cell relaxed with GGA-PBE.
Kinematic intensities with the Lorentz-polarization factor, no thermal factor.

The 10 most intense peaks (10° ≤ 2θ ≤ 80°), most intense first:
| Position (°2θ) | I (rel.) | index |
| --- | --- | --- |
| 18.1 | 100 | 0 0 1 |
| 32.6 | 50 | 0 2 1 |
| 18.9 | 48 | 0 1 1 |
| 34.6 | 43 | 1 1 0 |
| 31.2 | 28 | 0 1 -1 |
| 32.2 | 25 | 1 1 1 |
| 39.7 | 22 | 1 0 -1 |
| 45.4 | 18 | 1 0 2 |
| 36.7 | 18 | 0 2 0 |
| 42.4 | 13 | -1 1 1 |

Crystal structure
```
data_Na2H5W
_chemical_formula_sum 'Na2 H5 W1'
_cell_length_a 2.9100
_cell_length_b 5.6791
_cell_length_c 5.6868
_cell_angle_alpha 60.69
_cell_angle_beta 75.32
_cell_angle_gamma 75.30
_space_group_name_H-M_alt 'P 1'
_space_group_IT_number 1
loop_
_space_group_symop_operation_xyz
'x,y,z'
loop_
_atom_site_label
_atom_site_type_symbol
_atom_site_fract_x
_atom_site_fract_y
_atom_site_fract_z
Na1 Na 0.0000 0.0000 0.0000
Na2 Na 0.3211 0.6779 0.6764
H1 H 0.0317 0.4009 0.5362
H2 H 0.2878 0.1487 0.2715
H3 H 0.5463 0.6756 0.2313
H4 H 0.6618 0.9992 0.6761
H5 H 0.7665 0.4592 0.0036
W1 W 0.6593 0.3200 0.3595
```

(7)
# Nd2Be4IrPt3
Calculated XRD peak list, Cu Ka. Input: a cell relaxed with GGA-PBE.
Kinematic intensities with the Lorentz-polarization factor, no thermal factor.

The 10 most intense peaks (10° ≤ 2θ ≤ 80°), most intense first:
| Position (°2θ) | I (rel.) | index |
| --- | --- | --- |
| 32.4 | 100 | 1 1 1 |
| 36.3 | 83 | 1 1 2 |
| 35.7 | 67 | 1 0 3 |
| 44.4 | 62 | 2 0 0 |
| 28.7 | 50 | 1 0 2 |
| 27.9 | 33 | 0 0 3 |
| 58.2 | 33 | 2 1 3 |
| 66.9 | 32 | 1 1 6 |
| 53.3 | 23 | 2 0 3 |
| 64.6 | 21 | 2 2 0 |

Crystal structure
```
data_Nd2Be4IrPt3
_chemical_formula_sum 'Nd2 Be4 Ir1 Pt3'
_cell_length_a 4.0798
_cell_length_b 4.0798
_cell_length_c 9.5965
_cell_angle_alpha 90.00
_cell_angle_beta 90.00
_cell_angle_gamma 90.00
_space_group_name_H-M_alt 'P -4 m 2'
_space_group_IT_number 115
loop_
_space_group_symop_operation_xyz
'x,y,z'
'y,-x,-z'
'-x,-y,z'
'-y,x,-z'
'-x,y,z'
'-y,-x,-z'
'x,-y,z'
'y,x,-z'
loop_
_atom_site_label
_atom_site_type_symbol
_atom_site_fract_x
_atom_site_fract_y
_atom_site_fract_z
Nd1 Nd 0.0000 0.5000 0.2466
Be1 Be 0.0000 0.0000 0.5000
Be2 Be 0.0000 0.5000 0.8824
Be3 Be 0.5000 0.5000 0.5000
Ir1 Ir 0.5000 0.5000 0.0000
Pt1 Pt 0.0000 0.0000 0.0000
Pt2 Pt 0.0000 0.5000 0.6220
```

(8)
# V6CoW2
Calculated XRD peak list, Cu Ka. Input: a cell relaxed with GGA-PBE.
Kinematic intensities with the Lorentz-polarization factor, no thermal factor.

The 10 most intense peaks (10° ≤ 2θ ≤ 80°), most intense first:
| Position (°2θ) | I (rel.) | index |
| --- | --- | --- |
| 42.1 | 100 | 1 1 -5 |
| 14.2 | 49 | 0 0 3 |
| 41.9 | 27 | 2 0 -1 |
| 36.6 | 23 | 1 1 -2 |
| 43.6 | 19 | 0 0 9 |
| 76.7 | 16 | 3 1 -6 |
| 28.6 | 11 | 0 0 6 |
| 39.7 | 10 | 1 1 3 |
| 79.0 | 10 | 1 1 -14 |
| 62.1 | 9 | 2 0 -10 |

Crystal structure
```
data_V6CoW2
_chemical_formula_sum 'V12 Co2 W4'
_cell_length_a 4.3116
_cell_length_b 3.0795
_cell_length_c 18.8180
_cell_angle_alpha 90.00
_cell_angle_beta 96.46
_cell_angle_gamma 90.00
_space_group_name_H-M_alt 'C 1 2/m 1'
_space_group_IT_number 12
loop_
_space_group_symop_operation_xyz
'x,y,z'
'-x,-y,-z'
'-x,y,-z'
'x,-y,z'
'x+1/2,y+1/2,z'
'-x+1/2,-y+1/2,-z'
'-x+1/2,y+1/2,-z'
'x+1/2,-y+1/2,z'
loop_
_atom_site_label
_atom_site_type_symbol
_atom_site_fract_x
_atom_site_fract_y
_atom_site_fract_z
V1 V 0.0494 0.0000 0.1003
V2 V 0.1038 0.5000 0.2085
V3 V 0.2219 0.5000 0.4454
Co1 Co 0.0000 0.5000 0.0000
W1 W 0.1628 0.0000 0.3271
```

(9)
# Tl2In12Ag7
Calculated XRD peak list, Cu Ka. Input: a cell relaxed with GGA-PBE.
Kinematic intensities with the Lorentz-polarization factor, no thermal factor.

The 10 most intense peaks (10° ≤ 2θ ≤ 80°), most intense first:
| Position (°2θ) | I (rel.) | index |
| --- | --- | --- |
| 31.1 | 100 | 2 1 1 |
| 40.9 | 33 | 1 4 0 |
| 38.2 | 27 | 3 1 1 |
| 41.5 | 23 | 0 0 2 |
| 59.7 | 21 | 1 4 2 |
| 33.6 | 15 | 3 0 1 |
| 37.1 | 12 | 2 2 1 |
| 69.3 | 10 | 2 1 3 |
| 30.6 | 10 | 2 2 0 |
| 44.2 | 8 | 3 2 1 |

Crystal structure
```
data_Tl2In12Ag7
_chemical_formula_sum 'Tl2 In12 Ag7'
_cell_length_a 11.6880
_cell_length_b 11.6880
_cell_length_c 4.3507
_cell_angle_alpha 90.00
_cell_angle_beta 90.00
_cell_angle_gamma 120.00
_space_group_name_H-M_alt 'P -6'
_space_group_IT_number 174
loop_
_space_group_symop_operation_xyz
'x,y,z'
'-x+y,-x,-z'
'-y,x-y,z'
'x,y,-z'
'-x+y,-x,z'
'-y,x-y,-z'
loop_
_atom_site_label
_atom_site_type_symbol
_atom_site_fract_x
_atom_site_fract_y
_atom_site_fract_z
Tl1 Tl 0.0000 0.0000 0.0000
Tl2 Tl 0.3333 0.6667 0.5000
In1 In 0.0534 0.2918 0.5000
In2 In 0.1058 0.7216 0.0000
In3 In 0.3854 0.1731 0.0000
In4 In 0.5327 0.4230 0.5000
Ag1 Ag 0.0831 0.4714 0.0000
Ag2 Ag 0.2316 0.1922 0.5000
Ag3 Ag 0.6667 0.3333 0.0000
```